# Sc2ZnAu3
Calculated XRD peak list, copper Kα. Input: a DFT-relaxed cell (PBE, Alexandria).
Neutral-atom scattering factors, no anomalous dispersion.

The 11 most intense peaks (15 to 90 degrees two-theta), low angle first:
26.71 deg, 3.337 Å, I 41, (0 1 2)
38.14 deg, 2.360 Å, I 100, (1 1 0)
47.17 deg, 1.927 Å, I 12, (2 0 2)
49.89 deg, 1.828 Å, I 1, (1 1 4)
52.50 deg, 1.743 Å, I 1, (0 1 6)
55.04 deg, 1.668 Å, I 17, (0 2 4)
62.21 deg, 1.492 Å, I 17, (1 2 2)
68.93 deg, 1.362 Å, I 34, (3 0 0)
77.44 deg, 1.232 Å, I 1, (1 1 8)
81.60 deg, 1.180 Å, I 11, (2 2 0)
87.75 deg, 1.112 Å, I 9, (3 1 2)

```
data_Sc2ZnAu3
_chemical_formula_sum 'Sc4 Zn2 Au6'
_symmetry_space_group_name_H-M 'P 1'
_symmetry_Int_Tables_number 1
_cell_length_a 4.718
_cell_length_b 4.718
_cell_length_c 11.564
_cell_angle_alpha 90.00
_cell_angle_beta 90.00
_cell_angle_gamma 120.00
loop_
_symmetry_equiv_pos_as_xyz
'x,y,z'
loop_
_atom_site_label
_atom_site_fract_x
_atom_site_fract_y
_atom_site_fract_z
Sc1 0.000 0.000 0.000
Sc2 0.000 0.000 0.500
Sc3 0.333 0.667 0.181
Sc4 0.667 0.333 0.819
Zn1 0.333 0.667 0.668
Zn2 0.667 0.333 0.332
Au1 0.000 0.000 0.249
Au2 0.000 0.000 0.751
Au3 0.333 0.667 0.424
Au4 0.333 0.667 0.926
Au5 0.667 0.333 0.074
Au6 0.667 0.333 0.576
```